# NaFe2P2HO8
Calculated XRD peak list, Cu Kα. Input: a structure optimized by DFT (GGA+U).

Top 6 peaks for 2θ from 10° to 80°, sorted by position:
2theta, I/Imax, (hkl)
15.8, 100, 0 1 1
19.6, 98, -1 1 1
21.5, 57, 0 2 0
27.2, 62, 0 2 -2
28.6, 74, 1 -1 2
32.0, 94, 1 2 0

Atomic structure:
```
data_NaFe2P2HO8
_space_group_name_H-M_alt 'P 1'
_space_group_IT_number 1
_cell_length_a 5.2634
_cell_length_b 8.6853
_cell_length_c 9.0592
_cell_angle_alpha 95.66
_cell_angle_beta 99.68
_cell_angle_gamma 105.66
loop_
_space_group_symop_operation_xyz
'x,y,z'
loop_
_atom_site_label
_atom_site_type_symbol
_atom_site_fract_x
_atom_site_fract_y
_atom_site_fract_z
Na1 Na 0.0896 0.3157 0.3254
Na2 Na 0.9104 0.6843 0.6746
Fe1 Fe 0.1846 0.8838 0.0947
Fe2 Fe 0.2784 0.3904 0.7344
Fe3 Fe 0.7216 0.6096 0.2656
Fe4 Fe 0.8154 0.1162 0.9053
P1 P 0.3458 0.7511 0.4219
P2 P 0.3761 0.2554 0.0645
P3 P 0.6239 0.7446 0.9355
P4 P 0.6542 0.2489 0.5781
H1 H 0.4268 0.9413 0.6214
H2 H 0.5732 0.0587 0.3786
O1 O 0.0937 0.6053 0.3623
O2 O 0.1844 0.1189 0.1282
O3 O 0.2054 0.2611 0.9055
O4 O 0.3008 0.8277 0.5797
O5 O 0.3573 0.7785 0.9517
O6 O 0.3751 0.8816 0.3158
O7 O 0.3980 0.3044 0.5488
O8 O 0.4234 0.4140 0.1714
O9 O 0.5766 0.5860 0.8286
O10 O 0.6020 0.6956 0.4512
O11 O 0.6249 0.1184 0.6842
O12 O 0.6427 0.2215 0.0483
O13 O 0.6992 0.1723 0.4203
O14 O 0.7946 0.7389 0.0945
O15 O 0.8156 0.8811 0.8718
O16 O 0.9063 0.3947 0.6377
```